Starting from a DFT-relaxed cell (GGA-PBE, Alexandria), the X-ray diffraction stick pattern of AlTlClF6 was computed for Cu Kα (λ = 1.5418 Å).
Intensities are scaled so that the largest is 100.

Crystal structure
Cell: 5.546 5.549 6.410 Å, 94.81 94.97 118.87°
Space group P1 (No. 1)
One atom of each set of equivalent atoms:
1 Al 0.000 0.000 0.000 x1
2 Tl 0.659 0.341 0.000 x1
3 Cl 0.354 0.646 0.500 x1
4 F 0.004 0.294 0.163 x1
5 F 0.243 0.224 0.833 x1
6 F 0.317 0.058 0.164 x1
7 F 0.705 0.997 0.837 x1
8 F 0.776 0.757 0.167 x1
9 F 0.942 0.683 0.836 x1

Peak list (12 most intense, 5 to 70 degrees two-theta, by angle)
| Position (°2θ) | d [Å] | I (rel.) | (hkl) |
| --- | --- | --- | --- |
| 14.01 | 6.320 | 100 | 0 0 1 |
| 18.46 | 4.807 | 43 | 1 0 0 |
| 18.58 | 4.777 | 19 | 1 -1 0 |
| 21.54 | 4.125 | 49 | 1 0 -1 |
| 23.34 | 3.811 | 48 | 1 -1 1 |
| 24.84 | 3.584 | 35 | 1 0 1 |
| 28.24 | 3.160 | 13 | 0 0 2 |
| 31.55 | 2.836 | 14 | 1 0 -2 |
| 32.40 | 2.764 | 22 | 2 -1 0 |
| 36.56 | 2.458 | 21 | 2 -1 1 |
| 39.41 | 2.286 | 15 | 1 1 -2 |
| 45.36 | 1.999 | 20 | 2 -1 2 |